Simulated X-ray diffraction stick pattern
Compound: Li3Ni2SnO6
Radiation: λ = 1.5418 Å (Cu Kα)
Structure: a GGA+U-relaxed structure
Intensities are scaled so that the largest is 100.

Cell and atoms:
```
data_Li3Ni2SnO6
_chemical_formula_sum 'Li6 Ni4 Sn2 O12'
_symmetry_space_group_name_H-M 'P 1'
_symmetry_Int_Tables_number 1
_cell_length_a 6.0666
_cell_length_b 6.7035
_cell_length_c 6.7657
_cell_angle_alpha 72.61
_cell_angle_beta 63.41
_cell_angle_gamma 76.94
loop_
_symmetry_equiv_pos_as_xyz
'x,y,z'
loop_
_atom_site_label
_atom_site_type_symbol
_atom_site_fract_x
_atom_site_fract_y
_atom_site_fract_z
_atom_site_occupancy
Li1 Li 0.0622 0.3467 0.2001 1
Li2 Li 0.2496 0.9993 0.4996 1
Li3 Li 0.4172 0.6466 0.8378 1
Li4 Li 0.5828 0.3534 0.1622 1
Li5 Li 0.7504 0.0007 0.5004 1
Li6 Li 0.9378 0.6533 0.7999 1
Ni1 Ni 0.1618 0.6607 0.3442 1
Ni2 Ni 0.3378 0.3411 0.6516 1
Ni3 Ni 0.6622 0.6589 0.3484 1
Ni4 Ni 0.8382 0.3393 0.6558 1
Sn1 Sn 0.0000 0.0000 0.0000 1
Sn2 Sn 0.5000 0.0000 0.0000 1
O1 O 0.0440 0.6747 0.1068 1
O2 O 0.1306 0.0141 0.2330 1
O3 O 0.1816 0.3332 0.4374 1
O4 O 0.2875 0.6639 0.5631 1
O5 O 0.3706 0.9984 0.7603 1
O6 O 0.4906 0.3270 0.8887 1
O7 O 0.5094 0.6730 0.1113 1
O8 O 0.6294 0.0016 0.2397 1
O9 O 0.7125 0.3361 0.4369 1
O10 O 0.8184 0.6668 0.5626 1
O11 O 0.8694 0.9859 0.7670 1
O12 O 0.9560 0.3253 0.8932 1
```

Most intense lines, 15° ≤ 2θ ≤ 90°, low angle first:
Position (°2θ), I (rel.), (hkl)
18.1, 100, 0 1 1
34.7, 32, 2 0 2
35.0, 19, 0 2 -1
36.4, 24, 2 2 1
42.2, 46, 2 1 3
42.7, 23, 0 3 0
46.5, 14, 2 3 2
55.9, 11, -2 1 2
61.4, 13, 2 -2 3
61.7, 13, 2 4 3

Simulated X-ray diffraction stick pattern
Compound: FeP2CO8
Radiation: λ = 1.5418 Å (Cu Kα)
Structure: a GGA+U-relaxed structure
Intensities are scaled so that the largest is 100.

Cell and atoms:
```
data_FeP2CO8
_chemical_formula_sum 'Fe4 P8 C4 O32'
_symmetry_space_group_name_H-M 'P 1'
_symmetry_Int_Tables_number 1
_cell_length_a 8.5099
_cell_length_b 10.4685
_cell_length_c 10.7158
_cell_angle_alpha 69.47
_cell_angle_beta 86.64
_cell_angle_gamma 74.61
loop_
_symmetry_equiv_pos_as_xyz
'x,y,z'
loop_
_atom_site_label
_atom_site_type_symbol
_atom_site_fract_x
_atom_site_fract_y
_atom_site_fract_z
_atom_site_occupancy
Fe1 Fe 0.1853 0.1153 0.3928 1
Fe2 Fe 0.2065 0.1081 0.8930 1
Fe3 Fe 0.7935 0.8919 0.1070 1
Fe4 Fe 0.8147 0.8847 0.6072 1
P1 P 0.0287 0.6993 0.2645 1
P2 P 0.1130 0.0024 0.6841 1
P3 P 0.4000 0.0273 0.1669 1
P4 P 0.4055 0.3200 0.2139 1
P5 P 0.5945 0.6800 0.7861 1
P6 P 0.6000 0.9727 0.8331 1
P7 P 0.8870 0.9976 0.3159 1
P8 P 0.9713 0.3007 0.7355 1
C1 C 0.0170 0.1998 0.6161 1
C2 C 0.4193 0.2144 0.0894 1
C3 C 0.5807 0.7856 0.9106 1
C4 C 0.9830 0.8002 0.3839 1
O1 O 0.0159 0.0763 0.3160 1
O2 O 0.0226 0.2505 0.4928 1
O3 O 0.0377 0.8173 0.1271 1
O4 O 0.1585 0.2962 0.7445 1
O5 O 0.1578 0.5661 0.3118 1
O6 O 0.1953 0.9586 0.8207 1
O7 O 0.1971 0.5966 0.8685 1
O8 O 0.2373 0.9902 0.5735 1
O9 O 0.2513 0.0398 0.0848 1
O10 O 0.2657 0.2885 0.3026 1
O11 O 0.3640 0.0113 0.3127 1
O12 O 0.4065 0.2852 0.9737 1
O13 O 0.4442 0.0739 0.8494 1
O14 O 0.4451 0.3652 0.5655 1
O15 O 0.4810 0.4375 0.1842 1
O16 O 0.4892 0.2786 0.5086 1
O17 O 0.5108 0.7214 0.4914 1
O18 O 0.5190 0.5625 0.8158 1
O19 O 0.5549 0.6348 0.4345 1
O20 O 0.5558 0.9261 0.1506 1
O21 O 0.5935 0.7148 0.0263 1
O22 O 0.6360 0.9887 0.6873 1
O23 O 0.7343 0.7115 0.6974 1
O24 O 0.7487 0.9602 0.9152 1
O25 O 0.7627 0.0098 0.4265 1
O26 O 0.8029 0.4034 0.1315 1
O27 O 0.8047 0.0414 0.1793 1
O28 O 0.8422 0.4339 0.6882 1
O29 O 0.8415 0.7038 0.2555 1
O30 O 0.9623 0.1827 0.8729 1
O31 O 0.9774 0.7495 0.5072 1
O32 O 0.9841 0.9237 0.6840 1
```

Most intense lines, 15° ≤ 2θ ≤ 90°, low angle first:
Position (°2θ), I (rel.), (hkl)
16.1, 100, 1 -1 0
16.7, 50, 1 1 -1
19.1, 48, 1 2 0
20.4, 29, 1 0 -2
20.9, 25, 0 2 2
22.1, 33, 2 1 1
23.1, 26, 2 0 -1
24.7, 47, 2 2 0
27.5, 23, 2 0 -2
30.1, 31, 0 2 -2